Simulated X-ray powder pattern of LiCoSiO4 for Cu Kα, from the GGA+U geometry in the Materials Project.

Top 10 peaks for 5 to 70 degrees two-theta, most intense first:
2θ/deg  I_rel  (hkl)
21.76  100  0 1 1
32.21  17  2 0 2
34.42  17  0 2 0
34.31  14  4 0 0
23.40  12  1 1 1
33.39  11  1 1 2
60.13  10  6 0 2
27.73  9  2 1 1
33.83  8  3 1 1
41.04  7  4 1 1

Structure:
```
data_LiCoSiO4
_space_group_name_H-M_alt 'P n a 21'
_space_group_IT_number 33
_cell_length_a 10.454
_cell_length_b 5.212
_cell_length_c 6.562
_cell_angle_alpha 90.00
_cell_angle_beta 90.00
_cell_angle_gamma 90.00
loop_
_space_group_symop_operation_xyz
'x,y,z'
'-x,-y,z+1/2'
'-x+1/2,y+1/2,z+1/2'
'x+1/2,-y+1/2,z'
loop_
_atom_site_label
_atom_site_type_symbol
_atom_site_fract_x
_atom_site_fract_y
_atom_site_fract_z
Li1 Li 0.087 0.208 0.000
Co1 Co 0.089 0.323 0.484
Si1 Si 0.158 0.823 0.735
O1 O 0.083 0.751 0.949
O2 O 0.091 0.677 0.540
O3 O 0.137 0.136 0.712
O4 O 0.189 0.257 0.252
```